Structure and computed powder X-ray diffraction pattern of LiTbPrNiO6 (a crystal structure in Alexandria, relaxed with PBE+U; Cu Kα (weighted mean of Kα1 and Kα2)).
No peak broadening, texture or thermal motion is included.

Peak list (6 most intense, 2θ from 10° to 80°, low angle first)
2θ/deg  I/Imax  hkl
19.89  47  0 0 2
31.70  79  0 2 2
32.14  69  2 0 2
35.23  100  2 2 0
40.78  57  2 2 2
54.67  54  2 2 4

Cell and atoms:
a b c (Å): 7.1259 7.2859 8.9294
angles (deg): 90.00 90.00 90.00
Space group Cccm (No. 66)
Inequivalent atoms, fractional coordinates:
Li (0.2500, 0.2500, 0.0000) x4
Tb (0.0000, 0.0000, 0.2500) x4
Pr (0.0000, 0.5000, 0.2500) x4
Ni (0.2500, 0.2500, 0.5000) x4
O (0.0046, 0.3533, 0.0000) x8
O (0.1072, 0.0039, 0.0000) x8
O (0.2500, 0.2500, 0.2595) x8